Calculated PXRD pattern
Compound: Np2Al8Pt
Radiation: CuKα
Structure: a DFT-relaxed cell (PBE, Alexandria)
Lines closer than 0.1° are merged.

```
Np2Al8Pt
1.0
4.2786 0.0000 0.0000
0.0000 4.2786 0.0000
0.0000 0.0000 11.2182
Np Al Pt
2 8 1
direct
0.0000 0.0000 0.1886
0.0000 0.0000 0.8114
0.0000 0.5000 0.0000
0.0000 0.5000 0.3727
0.0000 0.5000 0.6273
0.5000 0.0000 0.0000
0.5000 0.0000 0.3727
0.5000 0.0000 0.6273
0.5000 0.5000 0.1930
0.5000 0.5000 0.8070
0.0000 0.0000 0.5000
```

Main lines, sorted by position (5° ≤ 2θ ≤ 70°):
- 20.8°, 4.279 Å, intensity 100, (1 0 0)
- 29.5°, 3.025 Å, intensity 35, (1 1 0)
- 31.8°, 2.816 Å, intensity 64, (1 0 3)
- 38.3°, 2.352 Å, intensity 77, (1 1 3)
- 42.2°, 2.139 Å, intensity 35, (2 0 0)
- 53.8°, 1.703 Å, intensity 31, (2 1 3)